1.
The following is a calculated powder X-ray diffraction pattern of Sc3Sn. It was derived from the PBE geometry in the Materials Project, using Cu Ka.

The 6 most intense peaks (2θ from 5° to 70°), by angle:
h k l  d/Å  I_rel
1 0 1  3.782  26
2 0 0  2.771  24
0 0 2  2.588  26
2 0 1  2.443  100
2 0 3  1.464  19
2 2 2  1.361  20

Atomic structure:
```
data_Sc3Sn
_cell_length_a 6.3994
_cell_length_b 6.3994
_cell_length_c 5.1752
_cell_angle_alpha 90.00
_cell_angle_beta 90.00
_cell_angle_gamma 120.00
_symmetry_space_group_name_H-M 'P 63/m m c'
_symmetry_Int_Tables_number 194
_symmetry_space_group_name_Hall '-P 6c 2c'
loop_
_atom_site_label
_atom_site_type_symbol
_atom_site_fract_x
_atom_site_fract_y
_atom_site_fract_z
Sc1 Sc 0.1683 0.3366 0.2500
Sn1 Sn 0.3333 0.6667 0.7500
```

---

2.
The following is a calculated powder X-ray diffraction pattern of Sc5Sn3. It was derived from the PBE geometry in the Materials Project, using Cu Ka.

The 6 most intense peaks (2θ from 5° to 70°), by angle:
h k l  d/Å  I_rel
1 1 1  3.476  62
0 0 2  3.050  37
2 1 1  2.521  100
1 1 2  2.474  63
3 0 0  2.442  40
3 1 1  1.927  38

Atomic structure:
```
data_Sc5Sn3
_cell_length_a 8.4576
_cell_length_b 8.4576
_cell_length_c 6.1008
_cell_angle_alpha 90.00
_cell_angle_beta 90.00
_cell_angle_gamma 120.00
_symmetry_space_group_name_H-M 'P 63/m c m'
_symmetry_Int_Tables_number 193
_symmetry_space_group_name_Hall '-P 6c 2'
loop_
_atom_site_label
_atom_site_type_symbol
_atom_site_fract_x
_atom_site_fract_y
_atom_site_fract_z
Sc1 Sc 0.0000 0.2359 0.2500
Sc2 Sc 0.3333 0.6667 0.0000
Sn1 Sn 0.0000 0.3947 0.7500
```

---

3.
The following is a calculated powder X-ray diffraction pattern of Sc3Sn. It was derived from the PBE geometry in the Materials Project, using Cu Ka.

The 6 most intense peaks (2θ from 5° to 70°), by angle:
h k l  d/Å  I_rel
1 0 0  4.521  25
1 1 0  3.197  22
1 1 1  2.610  100
2 0 0  2.260  49
2 2 0  1.598  32
3 1 1  1.363  37

Atomic structure:
```
data_Sc3Sn
_cell_length_a 4.521
_cell_length_b 4.521
_cell_length_c 4.521
_cell_angle_alpha 90.00
_cell_angle_beta 90.00
_cell_angle_gamma 90.00
_symmetry_space_group_name_H-M 'P m -3 m'
_symmetry_Int_Tables_number 221
_symmetry_space_group_name_Hall '-P 4 2 3'
loop_
_atom_site_label
_atom_site_type_symbol
_atom_site_fract_x
_atom_site_fract_y
_atom_site_fract_z
Sc1 Sc 0.000 0.000 0.500
Sn1 Sn 0.500 0.500 0.500
```

---

4.
The following is a calculated powder X-ray diffraction pattern of ScTaTc2. It was derived from the PBE geometry in the Materials Project, using Cu Ka.

The 5 most intense peaks (2θ from 5° to 70°), by angle:
h k l  d/Å  I_rel
1 1 1  3.705  24
2 2 0  2.269  100
3 1 1  1.935  13
4 0 0  1.604  17
3 3 1  1.472  6

Atomic structure:
```
data_ScTaTc2
_cell_length_a 6.417
_cell_length_b 6.417
_cell_length_c 6.417
_cell_angle_alpha 90.00
_cell_angle_beta 90.00
_cell_angle_gamma 90.00
_symmetry_space_group_name_H-M 'F m -3 m'
_symmetry_Int_Tables_number 225
_symmetry_space_group_name_Hall '-F 4 2 3'
loop_
_atom_site_label
_atom_site_type_symbol
_atom_site_fract_x
_atom_site_fract_y
_atom_site_fract_z
Sc1 Sc 0.000 0.000 0.000
Ta1 Ta 0.000 0.000 0.500
Tc1 Tc 0.250 0.250 0.250
```

---

5.
The following is a calculated powder X-ray diffraction pattern of TbSc. It was derived from the PBE geometry in the Materials Project, using Cu Ka.

The 6 most intense peaks (2θ from 5° to 70°), by angle:
h k l  d/Å  I_rel
0 0 1  5.404  35
1 0 0  3.027  42
0 0 2  2.702  21
1 0 1  2.641  100
1 0 2  2.016  27
1 0 3  1.548  19

Atomic structure:
```
data_TbSc
_cell_length_a 3.4958
_cell_length_b 3.4958
_cell_length_c 5.4040
_cell_angle_alpha 90.00
_cell_angle_beta 90.00
_cell_angle_gamma 120.00
_symmetry_space_group_name_H-M 'P -6 m 2'
_symmetry_Int_Tables_number 187
_symmetry_space_group_name_Hall 'P -6 2'
loop_
_atom_site_label
_atom_site_type_symbol
_atom_site_fract_x
_atom_site_fract_y
_atom_site_fract_z
Tb1 Tb 0.0000 0.0000 0.0000
Sc1 Sc 0.3333 0.6667 0.5000
```

---

6.
The following is a calculated powder X-ray diffraction pattern of ScTc3. It was derived from the PBE geometry in the Materials Project, using Cu Ka.

The 6 most intense peaks (2θ from 5° to 70°), by angle:
h k l  d/Å  I_rel
1 1 1  3.630  7
2 0 0  3.144  3
2 2 0  2.223  100
3 1 1  1.896  3
4 0 0  1.572  16
3 3 1  1.442  1

Atomic structure:
```
data_ScTc3
_cell_length_a 6.287
_cell_length_b 6.287
_cell_length_c 6.287
_cell_angle_alpha 90.00
_cell_angle_beta 90.00
_cell_angle_gamma 90.00
_symmetry_space_group_name_H-M 'F m -3 m'
_symmetry_Int_Tables_number 225
_symmetry_space_group_name_Hall '-F 4 2 3'
loop_
_atom_site_label
_atom_site_type_symbol
_atom_site_fract_x
_atom_site_fract_y
_atom_site_fract_z
Sc1 Sc 0.000 0.000 0.000
Tc1 Tc 0.000 0.000 0.500
Tc2 Tc 0.250 0.250 0.250
```

---

7.
The following is a calculated powder X-ray diffraction pattern of ScTc2. It was derived from the PBE geometry in the Materials Project, using Cu Ka.

The 6 most intense peaks (2θ from 5° to 70°), by angle:
h k l  d/Å  I_rel
1 0 0  4.534  37
1 0 3  2.430  44
1 1 2  2.239  88
2 0 1  2.193  100
0 0 4  2.159  31
2 0 2  2.007  44

Atomic structure:
```
data_ScTc2
_cell_length_a 5.2359
_cell_length_b 5.2359
_cell_length_c 8.6350
_cell_angle_alpha 90.00
_cell_angle_beta 90.00
_cell_angle_gamma 120.00
_symmetry_space_group_name_H-M 'P 63/m m c'
_symmetry_Int_Tables_number 194
_symmetry_space_group_name_Hall '-P 6c 2c'
loop_
_atom_site_label
_atom_site_type_symbol
_atom_site_fract_x
_atom_site_fract_y
_atom_site_fract_z
Sc1 Sc 0.3333 0.6667 0.0623
Tc1 Tc 0.0000 0.0000 0.0000
Tc2 Tc 0.1720 0.3440 0.7500
```

---

8.
The following is a calculated powder X-ray diffraction pattern of ThScTc2. It was derived from the PBE geometry in the Materials Project, using Cu Ka.

The 6 most intense peaks (2θ from 5° to 70°), by angle:
h k l  d/Å  I_rel
1 1 1  3.906  33
2 2 0  2.392  100
3 1 1  2.040  19
4 0 0  1.691  17
3 3 1  1.552  8
4 2 2  1.381  35

Atomic structure:
```
data_ThScTc2
_cell_length_a 6.766
_cell_length_b 6.766
_cell_length_c 6.766
_cell_angle_alpha 90.00
_cell_angle_beta 90.00
_cell_angle_gamma 90.00
_symmetry_space_group_name_H-M 'F m -3 m'
_symmetry_Int_Tables_number 225
_symmetry_space_group_name_Hall '-F 4 2 3'
loop_
_atom_site_label
_atom_site_type_symbol
_atom_site_fract_x
_atom_site_fract_y
_atom_site_fract_z
Th1 Th 0.000 0.000 0.000
Sc1 Sc 0.000 0.000 0.500
Tc1 Tc 0.250 0.250 0.250
```

---

9.
The following is a calculated powder X-ray diffraction pattern of Sc2TlTc. It was derived from the PBE geometry in the Materials Project, using Cu Ka.

The 6 most intense peaks (2θ from 5° to 70°), by angle:
h k l  d/Å  I_rel
1 1 1  3.932  15
2 0 0  3.405  36
2 2 0  2.408  100
4 0 0  1.702  17
4 2 0  1.523  15
4 2 2  1.390  34

Atomic structure:
```
data_Sc2TlTc
_cell_length_a 6.810
_cell_length_b 6.810
_cell_length_c 6.810
_cell_angle_alpha 90.00
_cell_angle_beta 90.00
_cell_angle_gamma 90.00
_symmetry_space_group_name_H-M 'F m -3 m'
_symmetry_Int_Tables_number 225
_symmetry_space_group_name_Hall '-F 4 2 3'
loop_
_atom_site_label
_atom_site_type_symbol
_atom_site_fract_x
_atom_site_fract_y
_atom_site_fract_z
Sc1 Sc 0.250 0.250 0.250
Tl1 Tl 0.000 0.000 0.000
Tc1 Tc 0.000 0.000 0.500
```

---

10.
The following is a calculated powder X-ray diffraction pattern of ScUTc2. It was derived from the PBE geometry in the Materials Project, using Cu Ka.

The 6 most intense peaks (2θ from 5° to 70°), by angle:
h k l  d/Å  I_rel
1 1 1  3.812  35
2 2 0  2.334  100
3 1 1  1.991  19
4 0 0  1.651  17
3 3 1  1.515  9
4 2 2  1.348  35

Atomic structure:
```
data_ScUTc2
_cell_length_a 6.602
_cell_length_b 6.602
_cell_length_c 6.602
_cell_angle_alpha 90.00
_cell_angle_beta 90.00
_cell_angle_gamma 90.00
_symmetry_space_group_name_H-M 'F m -3 m'
_symmetry_Int_Tables_number 225
_symmetry_space_group_name_Hall '-F 4 2 3'
loop_
_atom_site_label
_atom_site_type_symbol
_atom_site_fract_x
_atom_site_fract_y
_atom_site_fract_z
Sc1 Sc 0.000 0.000 0.000
U1 U 0.000 0.000 0.500
Tc1 Tc 0.250 0.250 0.250
```

---

11.
The following is a calculated powder X-ray diffraction pattern of ScTc2W. It was derived from the PBE geometry in the Materials Project, using Cu Ka.

The 5 most intense peaks (2θ from 5° to 70°), by angle:
h k l  d/Å  I_rel
1 1 1  3.661  25
2 2 0  2.242  100
3 1 1  1.912  13
4 0 0  1.585  17
3 3 1  1.455  6

Atomic structure:
```
data_ScTc2W
_cell_length_a 6.340
_cell_length_b 6.340
_cell_length_c 6.340
_cell_angle_alpha 90.00
_cell_angle_beta 90.00
_cell_angle_gamma 90.00
_symmetry_space_group_name_H-M 'F m -3 m'
_symmetry_Int_Tables_number 225
_symmetry_space_group_name_Hall '-F 4 2 3'
loop_
_atom_site_label
_atom_site_type_symbol
_atom_site_fract_x
_atom_site_fract_y
_atom_site_fract_z
Sc1 Sc 0.000 0.000 0.000
Tc1 Tc 0.250 0.250 0.250
W1 W 0.000 0.000 0.500
```

---

12.
The following is a calculated powder X-ray diffraction pattern of Sc3Te. It was derived from the PBE geometry in the Materials Project, using Cu Ka.

The 6 most intense peaks (2θ from 5° to 70°), by angle:
h k l  d/Å  I_rel
1 0 1  3.744  29
2 0 0  2.755  24
0 0 2  2.552  26
2 0 1  2.424  100
2 0 3  1.448  18
2 2 2  1.350  19

Atomic structure:
```
data_Sc3Te
_cell_length_a 6.3617
_cell_length_b 6.3617
_cell_length_c 5.1044
_cell_angle_alpha 90.00
_cell_angle_beta 90.00
_cell_angle_gamma 120.00
_symmetry_space_group_name_H-M 'P 63/m m c'
_symmetry_Int_Tables_number 194
_symmetry_space_group_name_Hall '-P 6c 2c'
loop_
_atom_site_label
_atom_site_type_symbol
_atom_site_fract_x
_atom_site_fract_y
_atom_site_fract_z
Sc1 Sc 0.1671 0.3343 0.2500
Te1 Te 0.3333 0.6667 0.7500
```